Diffraction record for SmHoHg2. The powder diffractogram is theoretical, not measured: it uses a DFT-relaxed cell (PBE, the Materials Project) and copper Kα.

Crystal structure
Lattice parameters (Å, degrees): 5.3168 5.3168 5.3168 60.00 60.00 60.00
Element x y z (fractional)
Sm: 0.0000 0.0000 0.0000
Ho: 0.5000 0.5000 0.5000
Hg: 0.2500 0.2500 0.2500
Hg: 0.7500 0.7500 0.7500

Top 7 peaks for 10° ≤ 2θ ≤ 80°, by angle:
Position (°2θ), I (rel.)
23.67, 2
33.71, 100
41.61, 1
48.42, 18
54.58, 1
60.30, 38
70.90, 12

=====

Diffraction record for TbHoHg2. The powder diffractogram is theoretical, not measured: it uses a DFT-relaxed cell (PBE, the Materials Project) and copper Kα.

Crystal structure
Lattice parameters (Å, degrees): 5.2673 5.2673 5.2673 60.00 60.00 60.00
Element x y z (fractional)
Tb: 0.0000 0.0000 0.0000
Ho: 0.5000 0.5000 0.5000
Hg: 0.2500 0.2500 0.2500
Hg: 0.7500 0.7500 0.7500

Top 6 peaks for 10° ≤ 2θ ≤ 80°, by angle:
Position (°2θ), I (rel.)
23.89, 1
34.04, 100
48.91, 18
55.14, 1
60.93, 38
71.67, 12

=====

Diffraction record for HoTmHg2. The powder diffractogram is theoretical, not measured: it uses a DFT-relaxed cell (PBE, the Materials Project) and copper Kα.

Crystal structure
Lattice parameters (Å, degrees): 5.2232 5.2232 5.2232 60.00 60.00 60.00
Element x y z (fractional)
Ho: 0.0000 0.0000 0.0000
Tm: 0.5000 0.5000 0.5000
Hg: 0.2500 0.2500 0.2500
Hg: 0.7500 0.7500 0.7500

Top 6 peaks for 10° ≤ 2θ ≤ 80°, by angle:
Position (°2θ), I (rel.)
24.10, 1
34.34, 100
49.35, 18
55.65, 1
61.50, 38
72.37, 12